Starting from a structure optimized by DFT (PBE+U), the XRD peak list of HfBiMoO6 was calculated for Cu Kα (λ = 1.5418 Å).
Lines closer than 0.1° are merged.

Atomic structure:
```
HfBiMoO6
1.0
4.9817 0.0000 0.0000
0.0000 4.9817 0.0000
0.0000 0.0000 9.9866
Hf Bi Mo O
2 2 2 12
direct
0.0000 0.0000 0.0000
0.5000 0.5000 0.5000
0.0000 0.0000 0.6585
0.5000 0.5000 0.1585
0.0000 0.0000 0.3306
0.5000 0.5000 0.8306
0.1740 0.1740 0.1697
0.2056 0.2056 0.4833
0.2269 0.2269 0.8561
0.2731 0.7269 0.3561
0.2944 0.7056 0.9833
0.3260 0.6740 0.6697
0.6740 0.3260 0.6697
0.7056 0.2944 0.9833
0.7269 0.2731 0.3561
0.7731 0.7731 0.8561
0.7944 0.7944 0.4833
0.8260 0.8260 0.1697
```

Principal peaks in the range 10° ≤ 2θ ≤ 80°, in order of rising 2θ:
2θ 25.3, d 3.523, I 100, (1 1 0); 2θ 32.3, d 2.768, I 90, (1 0 3); 2θ 36.1, d 2.491, I 28, (2 0 0); 2θ 49.2, d 1.852, I 71, (2 1 3); 2θ 51.9, d 1.761, I 17, (2 2 0); 2θ 58.6, d 1.575, I 18, (3 1 0); 2θ 61.6, d 1.505, I 17, (1 1 6); 2θ 62.5, d 1.486, I 22, (3 0 3); 2θ 67.7, d 1.384, I 10, (2 0 6); 2θ 74.3, d 1.276, I 17, (3 2 3)